Diffraction record for Li6Zn2Ir. The XRD peak list is calculated, not measured: it uses DFT lattice parameters and positions (GGA-PBE) and CuKα.
No peak broadening, texture or thermal motion is included.

Principal peaks in the range 15 to 90 degrees two-theta, sorted by position:
2θ 25.4, d = 3.509 Å, I 100; 2θ 33.4, d = 2.685 Å, I 55; 2θ 35.8, d = 2.511 Å, I 39; 2θ 37.3, d = 2.411 Å, I 76; 2θ 39.1, d = 2.305 Å, I 55; 2θ 39.4, d = 2.290 Å, I 46; 2θ 40.3, d = 2.240 Å, I 38; 2θ 40.5, d = 2.230 Å, I 78; 2θ 40.9, d = 2.208 Å, I 44; 2θ 46.0, d = 1.972 Å, I 39; 2θ 48.2, d = 1.888 Å, I 34; 2θ 50.4, d = 1.810 Å, I 32

Structural model:
Cell lengths 7.601, 7.601, 2.963 Å; angles 94.01, 94.01, 124.33 degrees
Fractional coordinates of all 9 atoms:
Li (0.009, 0.342, 0.359)
Li (0.198, 0.198, 0.876)
Li (0.342, 0.009, 0.359)
Li (0.658, 0.991, 0.641)
Li (0.802, 0.802, 0.124)
Li (0.991, 0.658, 0.641)
Zn (0.342, 0.658, 0.000)
Zn (0.658, 0.342, 0.000)
Ir (0.500, 0.500, 0.500)

---

Diffraction record for Dy2Mn3Si5. The XRD peak list is calculated, not measured: it uses DFT lattice parameters and positions (GGA-PBE) and CuKα.
No peak broadening, texture or thermal motion is included.

Principal peaks in the range 15 to 90 degrees two-theta, sorted by position:
2θ 18.8, d = 4.725 Å, I 19; 2θ 25.0, d = 3.561 Å, I 29; 2θ 31.5, d = 2.844 Å, I 100; 2θ 33.1, d = 2.709 Å, I 24; 2θ 35.0, d = 2.562 Å, I 31; 2θ 38.1, d = 2.362 Å, I 28; 2θ 38.3, d = 2.350 Å, I 28; 2θ 38.9, d = 2.316 Å, I 46; 2θ 41.2, d = 2.193 Å, I 47; 2θ 53.3, d = 1.718 Å, I 21; 2θ 58.1, d = 1.589 Å, I 21; 2θ 63.0, d = 1.476 Å, I 28

Structural model:
Cell lengths 10.565, 10.565, 5.418 Å; angles 90.00, 90.00, 90.00 degrees
Fractional coordinates of all 40 atoms:
Dy (0.075, 0.237, 0.000)
Dy (0.237, 0.925, 0.000)
Dy (0.263, 0.425, 0.500)
Dy (0.425, 0.737, 0.500)
Dy (0.575, 0.263, 0.500)
Dy (0.737, 0.575, 0.500)
Dy (0.763, 0.075, 0.000)
Dy (0.925, 0.763, 0.000)
Mn (0.000, 0.500, 0.250)
Mn (0.000, 0.500, 0.750)
Mn (0.121, 0.855, 0.500)
Mn (0.145, 0.121, 0.500)
Mn (0.355, 0.621, 0.000)
Mn (0.379, 0.355, 0.000)
Mn (0.500, 0.000, 0.250)
Mn (0.500, 0.000, 0.750)
Mn (0.621, 0.645, 0.000)
Mn (0.645, 0.379, 0.000)
Mn (0.855, 0.879, 0.500)
Mn (0.879, 0.145, 0.500)
Si (0.000, 0.000, 0.257)
Si (0.000, 0.000, 0.743)
Si (0.024, 0.315, 0.500)
Si (0.175, 0.675, 0.250)
Si (0.175, 0.675, 0.750)
Si (0.185, 0.476, 0.000)
Si (0.315, 0.976, 0.500)
Si (0.325, 0.175, 0.250)
Si (0.325, 0.175, 0.750)
Si (0.476, 0.815, 0.000)
Si (0.500, 0.500, 0.243)
Si (0.500, 0.500, 0.757)
Si (0.524, 0.185, 0.000)
Si (0.675, 0.825, 0.250)
Si (0.675, 0.825, 0.750)
Si (0.685, 0.024, 0.500)
Si (0.815, 0.524, 0.000)
Si (0.825, 0.325, 0.250)
Si (0.825, 0.325, 0.750)
Si (0.976, 0.685, 0.500)

---

Diffraction record for Pm2Ho. The XRD peak list is calculated, not measured: it uses DFT lattice parameters and positions (GGA-PBE) and CuKα.
No peak broadening, texture or thermal motion is included.

Principal peaks in the range 15 to 90 degrees two-theta, sorted by position:
2θ 28.6, d = 3.122 Å, I 37; 2θ 30.6, d = 2.919 Å, I 48; 2θ 31.5, d = 2.836 Å, I 100; 2θ 33.2, d = 2.698 Å, I 81; 2θ 39.7, d = 2.271 Å, I 19; 2θ 50.3, d = 1.815 Å, I 37; 2θ 53.9, d = 1.700 Å, I 24; 2θ 57.2, d = 1.611 Å, I 16; 2θ 60.0, d = 1.541 Å, I 43; 2θ 60.6, d = 1.529 Å, I 16; 2θ 61.6, d = 1.506 Å, I 14; 2θ 85.3, d = 1.137 Å, I 16

Structural model:
Cell lengths 3.631, 3.631, 26.270 Å; angles 90.00, 90.00, 120.00 degrees
Fractional coordinates of all 9 atoms:
Pm (0.000, 0.000, 0.224)
Pm (0.000, 0.000, 0.776)
Pm (0.333, 0.667, 0.443)
Pm (0.333, 0.667, 0.890)
Pm (0.667, 0.333, 0.110)
Pm (0.667, 0.333, 0.557)
Ho (0.000, 0.000, 0.000)
Ho (0.333, 0.667, 0.667)
Ho (0.667, 0.333, 0.333)

---

Diffraction record for Sm3DyP4. The XRD peak list is calculated, not measured: it uses DFT lattice parameters and positions (GGA-PBE) and CuKα.
No peak broadening, texture or thermal motion is included.

Principal peaks in the range 15 to 90 degrees two-theta, sorted by position:
2θ 26.7, d = 3.334 Å, I 83; 2θ 31.0, d = 2.887 Å, I 100; 2θ 44.4, d = 2.042 Å, I 73; 2θ 52.6, d = 1.741 Å, I 41; 2θ 55.1, d = 1.667 Å, I 26; 2θ 64.6, d = 1.444 Å, I 12; 2θ 71.2, d = 1.325 Å, I 17; 2θ 73.3, d = 1.291 Å, I 33; 2θ 81.7, d = 1.179 Å, I 25; 2θ 87.9, d = 1.111 Å, I 13

Structural model:
Cell lengths 8.165, 11.545, 4.085 Å; angles 90.00, 90.00, 90.00 degrees
Fractional coordinates of all 16 atoms:
Sm (0.000, 0.000, 0.000)
Sm (0.250, 0.250, 0.500)
Sm (0.250, 0.750, 0.500)
Sm (0.500, 0.500, 0.000)
Sm (0.750, 0.250, 0.500)
Sm (0.750, 0.750, 0.500)
Dy (0.000, 0.500, 0.000)
Dy (0.500, 0.000, 0.000)
P (0.000, 0.252, 0.000)
P (0.000, 0.748, 0.000)
P (0.246, 0.500, 0.500)
P (0.254, 0.000, 0.500)
P (0.500, 0.248, 0.000)
P (0.500, 0.752, 0.000)
P (0.746, 0.000, 0.500)
P (0.754, 0.500, 0.500)

---

Diffraction record for Pa2GaPt6. The XRD peak list is calculated, not measured: it uses DFT lattice parameters and positions (GGA-PBE) and CuKα.
No peak broadening, texture or thermal motion is included.

Principal peaks in the range 15 to 90 degrees two-theta, sorted by position:
2θ 30.1, d = 2.965 Å, I 23; 2θ 35.0, d = 2.565 Å, I 14; 2θ 35.3, d = 2.540 Å, I 26; 2θ 36.5, d = 2.463 Å, I 20; 2θ 39.6, d = 2.275 Å, I 100; 2θ 48.0, d = 1.895 Å, I 19; 2θ 56.7, d = 1.623 Å, I 11; 2θ 58.5, d = 1.577 Å, I 9; 2θ 65.6, d = 1.422 Å, I 19; 2θ 65.8, d = 1.420 Å, I 8; 2θ 73.9, d = 1.282 Å, I 11; 2θ 79.5, d = 1.206 Å, I 13

Structural model:
Cell lengths 5.689, 5.689, 5.930 Å; angles 90.00, 90.00, 120.00 degrees
Fractional coordinates of all 9 atoms:
Pa (0.333, 0.667, 0.320)
Pa (0.667, 0.333, 0.680)
Ga (0.000, 0.000, 0.500)
Pt (0.173, 0.347, 0.810)
Pt (0.173, 0.827, 0.810)
Pt (0.347, 0.173, 0.190)
Pt (0.653, 0.827, 0.810)
Pt (0.827, 0.173, 0.190)
Pt (0.827, 0.653, 0.190)

---

Diffraction record for La8CeHo5. The XRD peak list is calculated, not measured: it uses DFT lattice parameters and positions (GGA-PBE) and CuKα.
No peak broadening, texture or thermal motion is included.

Principal peaks in the range 15 to 90 degrees two-theta, sorted by position:
2θ 26.1, d = 3.415 Å, I 34; 2θ 29.2, d = 3.063 Å, I 47; 2θ 29.8, d = 3.000 Å, I 12; 2θ 30.7, d = 2.915 Å, I 54; 2θ 31.3, d = 2.861 Å, I 100; 2θ 32.5, d = 2.757 Å, I 26; 2θ 32.6, d = 2.746 Å, I 57; 2θ 34.0, d = 2.635 Å, I 47; 2θ 50.2, d = 1.816 Å, I 12; 2θ 53.1, d = 1.726 Å, I 18; 2θ 59.5, d = 1.553 Å, I 19; 2θ 65.3, d = 1.428 Å, I 13

Structural model:
Cell lengths 8.597, 8.597, 8.660 Å; angles 115.34, 112.66, 100.21 degrees
Fractional coordinates of all 14 atoms:
La (0.000, 0.000, 0.000)
La (0.009, 0.267, 0.472)
La (0.127, 0.661, 0.987)
La (0.209, 0.864, 0.689)
La (0.368, 0.154, 0.512)
La (0.520, 0.663, 0.785)
La (0.582, 0.844, 0.456)
La (0.724, 0.261, 0.009)
Ce (0.915, 0.188, 0.731)
Ho (0.187, 0.485, 0.281)
Ho (0.391, 0.393, 0.005)
Ho (0.533, 0.047, 0.185)
Ho (0.747, 0.530, 0.493)
Ho (0.858, 0.761, 0.239)